No. 1
For Li4Al2IrAu, a crystal structure in OQMD, relaxed with GGA-PBE gives the simulated powder diffractogram in this record (Cu Ka).
Lines closer than 0.1° are merged.

The 8 most intense peaks (10° ≤ 2θ ≤ 90°), low angle first:
| 2θ (°) | d/Å | Rel. int. |
| --- | --- | --- |
| 25.4 | 3.512 | 1000 |
| 29.4 | 3.042 | 402 |
| 42.0 | 2.151 | 590 |
| 49.6 | 1.837 | 166 |
| 49.7 | 1.833 | 331 |
| 67.1 | 1.396 | 205 |
| 76.8 | 1.241 | 136 |
| 82.4 | 1.170 | 120 |

Structure:
a b c (Å): 4.2973 4.2973 6.0955
angles (deg): 90.00 90.00 90.00
Positions (direct):
Li  0.0000  0.0000  0.0000
Li  0.0000  0.5000  0.7472
Li  0.5000  0.0000  0.2528
Li  0.5000  0.5000  0.5000
Al  0.0000  0.5000  0.2740
Al  0.5000  0.0000  0.7260
Ir  0.0000  0.0000  0.5000
Au  0.5000  0.5000  0.0000


No. 2
For Zr3Al3IrAu2, a crystal structure in OQMD, relaxed with GGA-PBE gives the simulated powder diffractogram in this record (Cu Ka).
Lines closer than 0.1° are merged.

The 8 most intense peaks (10° ≤ 2θ ≤ 90°), low angle first:
| 2θ (°) | d/Å | Rel. int. |
| --- | --- | --- |
| 26.2 | 3.403 | 801 |
| 26.3 | 3.389 | 640 |
| 34.1 | 2.629 | 580 |
| 37.5 | 2.401 | 1000 |
| 43.7 | 2.071 | 289 |
| 46.2 | 1.964 | 799 |
| 65.5 | 1.425 | 316 |
| 73.7 | 1.286 | 313 |

Structure:
a b c (Å): 4.1426 6.8072 6.8072
angles (deg): 120.06 90.00 90.00
Positions (direct):
Zr  0.0000  0.0000  0.0000
Zr  0.0000  0.1875  0.5935
Zr  0.0000  0.5935  0.1875
Al  0.5000  0.3543  0.3543
Al  0.5000  0.5929  0.8343
Al  0.5000  0.8343  0.5929
Ir  0.0000  0.5936  0.5936
Au  0.5000  0.2603  0.9274
Au  0.5000  0.9274  0.2603


No. 3
For KAl3Tl3Au4, a crystal structure in OQMD, relaxed with GGA-PBE gives the simulated powder diffractogram in this record (Cu Ka).
Lines closer than 0.1° are merged.

The 8 most intense peaks (10° ≤ 2θ ≤ 90°), low angle first:
| 2θ (°) | d/Å | Rel. int. |
| --- | --- | --- |
| 21.1 | 4.207 | 602 |
| 24.7 | 3.598 | 418 |
| 30.2 | 2.956 | 381 |
| 32.8 | 2.734 | 606 |
| 32.9 | 2.720 | 630 |
| 39.5 | 2.284 | 1000 |
| 43.0 | 2.104 | 299 |
| 43.4 | 2.084 | 450 |

Structure:
a b c (Å): 8.3083 8.3083 4.2073
angles (deg): 90.00 90.00 120.00
Positions (direct):
K  0.0000  0.0000  0.0000
Al  0.0772  0.5386  0.0000
Al  0.4614  0.5386  0.0000
Al  0.4614  0.9228  0.0000
Tl  0.3789  0.1895  0.5000
Tl  0.8105  0.1895  0.5000
Tl  0.8105  0.6211  0.5000
Au  0.2149  0.4297  0.5000
Au  0.2149  0.7851  0.5000
Au  0.5703  0.7851  0.5000
Au  0.6667  0.3333  0.0000


No. 4
For LiAlAu, a crystal structure in OQMD, relaxed with GGA-PBE gives the simulated powder diffractogram in this record (Cu Ka).
Lines closer than 0.1° are merged.

The 8 most intense peaks (10° ≤ 2θ ≤ 90°), low angle first:
| 2θ (°) | d/Å | Rel. int. |
| --- | --- | --- |
| 22.9 | 3.883 | 440 |
| 28.1 | 3.170 | 1000 |
| 32.6 | 2.746 | 256 |
| 40.2 | 2.242 | 727 |
| 49.8 | 1.830 | 218 |
| 52.7 | 1.737 | 400 |
| 73.1 | 1.294 | 209 |
| 82.4 | 1.171 | 239 |

Structure:
a b c (Å): 4.4837 4.4837 5.4916
angles (deg): 90.00 90.00 120.00
Positions (direct):
Li  0.0000  0.0000  0.0000
Li  0.0000  0.0000  0.5000
Al  0.3333  0.6667  0.2500
Al  0.6667  0.3333  0.7500
Au  0.3333  0.6667  0.7500
Au  0.6667  0.3333  0.2500


No. 5
For Li2YScAl2Au2, a crystal structure in OQMD, relaxed with GGA-PBE gives the simulated powder diffractogram in this record (Cu Ka).
Lines closer than 0.1° are merged.

The 8 most intense peaks (10° ≤ 2θ ≤ 90°), low angle first:
| 2θ (°) | d/Å | Rel. int. |
| --- | --- | --- |
| 23.5 | 3.789 | 1000 |
| 38.8 | 2.320 | 944 |
| 45.8 | 1.982 | 164 |
| 45.9 | 1.977 | 349 |
| 56.1 | 1.639 | 109 |
| 61.6 | 1.506 | 137 |
| 70.3 | 1.339 | 216 |
| 88.1 | 1.108 | 113 |

Structure:
a b c (Å): 4.6344 4.6344 6.5795
angles (deg): 90.00 90.00 90.00
Positions (direct):
Li  0.0000  0.5000  0.2370
Li  0.5000  0.0000  0.7630
Y  0.5000  0.5000  0.5000
Sc  0.0000  0.0000  0.0000
Al  0.0000  0.0000  0.5000
Al  0.5000  0.5000  0.0000
Au  0.0000  0.5000  0.7650
Au  0.5000  0.0000  0.2350


No. 6
For LiYAlAu, a crystal structure in OQMD, relaxed with GGA-PBE gives the simulated powder diffractogram in this record (Cu Ka).
Lines closer than 0.1° are merged.

The 8 most intense peaks (10° ≤ 2θ ≤ 90°), low angle first:
| 2θ (°) | d/Å | Rel. int. |
| --- | --- | --- |
| 23.0 | 3.863 | 954 |
| 38.0 | 2.366 | 1000 |
| 44.9 | 2.017 | 506 |
| 54.9 | 1.672 | 115 |
| 60.3 | 1.535 | 212 |
| 68.7 | 1.366 | 351 |
| 73.6 | 1.287 | 120 |
| 86.0 | 1.130 | 111 |

Structure:
a b c (Å): 4.7278 4.7278 6.7001
angles (deg): 90.00 90.00 90.00
Positions (direct):
Li  0.0000  0.5000  0.2501
Li  0.5000  0.0000  0.7499
Y  0.0000  0.0000  0.5000
Y  0.5000  0.5000  0.0000
Al  0.0000  0.0000  0.0000
Al  0.5000  0.5000  0.5000
Au  0.0000  0.5000  0.7492
Au  0.5000  0.0000  0.2508


No. 7
For Na4MgAlAu2, a crystal structure in OQMD, relaxed with GGA-PBE gives the simulated powder diffractogram in this record (Cu Ka).
Lines closer than 0.1° are merged.

The 8 most intense peaks (10° ≤ 2θ ≤ 90°), low angle first:
| 2θ (°) | d/Å | Rel. int. |
| --- | --- | --- |
| 22.4 | 3.974 | 941 |
| 25.9 | 3.446 | 329 |
| 26.0 | 3.433 | 156 |
| 36.9 | 2.434 | 1000 |
| 43.6 | 2.077 | 347 |
| 43.7 | 2.071 | 158 |
| 45.7 | 1.987 | 144 |
| 66.5 | 1.406 | 232 |

Structure:
a b c (Å): 4.8737 4.8737 6.8650
angles (deg): 90.00 90.00 90.00
Positions (direct):
Na  0.0000  0.0000  0.0000
Na  0.0000  0.5000  0.7457
Na  0.5000  0.0000  0.2543
Na  0.5000  0.5000  0.5000
Mg  0.5000  0.5000  0.0000
Al  0.0000  0.0000  0.5000
Au  0.0000  0.5000  0.2653
Au  0.5000  0.0000  0.7347


No. 8
For AlMo4AuN2, a crystal structure in OQMD, relaxed with GGA-PBE gives the simulated powder diffractogram in this record (Cu Ka).
Lines closer than 0.1° are merged.

The 8 most intense peaks (10° ≤ 2θ ≤ 90°), low angle first:
| 2θ (°) | d/Å | Rel. int. |
| --- | --- | --- |
| 36.1 | 2.491 | 253 |
| 36.3 | 2.475 | 248 |
| 38.3 | 2.350 | 147 |
| 40.7 | 2.217 | 1000 |
| 52.1 | 1.756 | 189 |
| 65.3 | 1.429 | 174 |
| 68.0 | 1.379 | 165 |
| 76.9 | 1.240 | 170 |

Structure:
a b c (Å): 2.8581 2.8581 14.9442
angles (deg): 90.00 90.00 120.00
Positions (direct):
Al  0.0000  0.0000  0.0000
Mo  0.0000  0.0000  0.3365
Mo  0.0000  0.0000  0.6635
Mo  0.3333  0.6667  0.1498
Mo  0.3333  0.6667  0.8502
Au  0.3333  0.6667  0.5000
N  0.6667  0.3333  0.2433
N  0.6667  0.3333  0.7567


No. 9
For NaSrAl4Au2, a crystal structure in OQMD, relaxed with GGA-PBE gives the simulated powder diffractogram in this record (Cu Ka).
Lines closer than 0.1° are merged.

The 8 most intense peaks (10° ≤ 2θ ≤ 90°), low angle first:
| 2θ (°) | d/Å | Rel. int. |
| --- | --- | --- |
| 16.7 | 5.296 | 652 |
| 24.6 | 3.625 | 478 |
| 25.1 | 3.548 | 1000 |
| 33.1 | 2.707 | 288 |
| 34.8 | 2.576 | 838 |
| 36.1 | 2.487 | 377 |
| 41.0 | 2.204 | 270 |
| 43.6 | 2.078 | 421 |

Structure:
a b c (Å): 7.2503 5.7365 5.7365
angles (deg): 45.18 90.00 90.00
Positions (direct):
Na  0.0000  0.0000  0.0000
Sr  0.5000  0.8692  0.8692
Al  0.1882  0.2829  0.2829
Al  0.2993  0.5795  0.5795
Al  0.7007  0.5795  0.5795
Al  0.8118  0.2829  0.2829
Au  0.0000  0.7210  0.7210
Au  0.5000  0.1523  0.1523


No. 10
For NdAl2NiAu, a crystal structure in OQMD, relaxed with GGA-PBE gives the simulated powder diffractogram in this record (Cu Ka).
Lines closer than 0.1° are merged.

The 8 most intense peaks (10° ≤ 2θ ≤ 90°), low angle first:
| 2θ (°) | d/Å | Rel. int. |
| --- | --- | --- |
| 27.1 | 3.295 | 951 |
| 29.3 | 3.052 | 777 |
| 33.5 | 2.671 | 866 |
| 34.2 | 2.619 | 1000 |
| 41.9 | 2.158 | 828 |
| 49.4 | 1.845 | 502 |
| 54.7 | 1.679 | 432 |
| 66.7 | 1.402 | 411 |

Structure:
a b c (Å): 4.3164 4.3164 10.2021
angles (deg): 90.00 90.00 90.00
Positions (direct):
Nd  0.2500  0.2500  0.2330
Nd  0.7500  0.7500  0.7670
Al  0.2500  0.2500  0.8957
Al  0.2500  0.7500  0.5000
Al  0.7500  0.2500  0.5000
Al  0.7500  0.7500  0.1043
Ni  0.2500  0.7500  0.0000
Ni  0.7500  0.2500  0.0000
Au  0.2500  0.2500  0.6434
Au  0.7500  0.7500  0.3566


No. 11
For NdAl4SiAu2, a crystal structure in OQMD, relaxed with GGA-PBE gives the simulated powder diffractogram in this record (Cu Ka).
Lines closer than 0.1° are merged.

The 8 most intense peaks (10° ≤ 2θ ≤ 90°), low angle first:
| 2θ (°) | d/Å | Rel. int. |
| --- | --- | --- |
| 18.1 | 4.905 | 350 |
| 23.3 | 3.819 | 373 |
| 29.3 | 3.044 | 651 |
| 29.9 | 2.984 | 1000 |
| 36.6 | 2.452 | 398 |
| 42.0 | 2.152 | 541 |
| 48.8 | 1.865 | 424 |
| 52.4 | 1.746 | 425 |

Structure:
a b c (Å): 6.0877 6.0877 8.2797
angles (deg): 90.00 90.00 90.00
Positions (direct):
Nd  0.2500  0.7500  0.0000
Nd  0.7500  0.2500  0.0000
Al  0.0010  0.0010  0.3208
Al  0.0010  0.4990  0.3208
Al  0.4990  0.0010  0.3208
Al  0.4990  0.4990  0.3208
Al  0.5010  0.5010  0.6792
Al  0.5010  0.9990  0.6792
Al  0.9990  0.5010  0.6792
Al  0.9990  0.9990  0.6792
Si  0.2500  0.2500  0.1465
Si  0.7500  0.7500  0.8535
Au  0.2500  0.2500  0.8493
Au  0.2500  0.7500  0.5000
Au  0.7500  0.2500  0.5000
Au  0.7500  0.7500  0.1507


No. 12
For Al4Ni2Au, a crystal structure in OQMD, relaxed with GGA-PBE gives the simulated powder diffractogram in this record (Cu Ka).
Lines closer than 0.1° are merged.

The 8 most intense peaks (10° ≤ 2θ ≤ 90°), low angle first:
| 2θ (°) | d/Å | Rel. int. |
| --- | --- | --- |
| 10.1 | 8.727 | 612 |
| 27.1 | 3.295 | 1000 |
| 27.7 | 3.219 | 520 |
| 31.9 | 2.805 | 256 |
| 38.6 | 2.331 | 256 |
| 44.0 | 2.056 | 642 |
| 47.0 | 1.935 | 267 |
| 47.4 | 1.918 | 530 |

Structure:
a b c (Å): 9.0036 9.0036 9.0036
angles (deg): 24.59 24.59 24.59
Positions (direct):
Al  0.1063  0.1063  0.1063
Al  0.3038  0.3038  0.3038
Al  0.6962  0.6962  0.6962
Al  0.8937  0.8937  0.8937
Ni  0.3995  0.3995  0.3995
Ni  0.6005  0.6005  0.6005
Au  0.5000  0.5000  0.5000


No. 13
For ZrSc2Al3NiAu2, a crystal structure in OQMD, relaxed with GGA-PBE gives the simulated powder diffractogram in this record (Cu Ka).
Lines closer than 0.1° are merged.

The 8 most intense peaks (10° ≤ 2θ ≤ 90°), low angle first:
| 2θ (°) | d/Å | Rel. int. |
| --- | --- | --- |
| 14.8 | 5.980 | 484 |
| 25.6 | 3.482 | 666 |
| 25.9 | 3.438 | 437 |
| 27.4 | 3.258 | 324 |
| 34.7 | 2.587 | 1000 |
| 34.9 | 2.569 | 407 |
| 38.0 | 2.365 | 592 |
| 45.5 | 1.993 | 385 |

Structure:
a b c (Å): 3.8654 6.9641 6.9641
angles (deg): 120.83 90.00 90.00
Positions (direct):
Zr  0.0000  0.0000  0.0000
Sc  0.0000  0.3981  0.7941
Sc  0.0000  0.7941  0.3981
Al  0.5000  0.1641  0.3972
Al  0.5000  0.3972  0.1641
Al  0.5000  0.6359  0.6359
Ni  0.0000  0.3981  0.3981
Au  0.5000  0.0673  0.7285
Au  0.5000  0.7285  0.0673


No. 14
For Tm3AlZn2NiAu2, a crystal structure in OQMD, relaxed with GGA-PBE gives the simulated powder diffractogram in this record (Cu Ka).
Lines closer than 0.1° are merged.

The 8 most intense peaks (10° ≤ 2θ ≤ 90°), low angle first:
| 2θ (°) | d/Å | Rel. int. |
| --- | --- | --- |
| 24.7 | 3.603 | 295 |
| 33.8 | 2.649 | 1000 |
| 34.0 | 2.639 | 708 |
| 36.8 | 2.442 | 465 |
| 37.0 | 2.431 | 508 |
| 43.7 | 2.070 | 375 |
| 46.5 | 1.955 | 320 |
| 65.7 | 1.421 | 227 |

Structure:
a b c (Å): 3.9090 7.2069 7.2069
angles (deg): 120.48 90.00 90.00
Positions (direct):
Tm  0.0000  0.0000  0.0000
Tm  0.0000  0.2108  0.6145
Tm  0.0000  0.6145  0.2108
Al  0.5000  0.3840  0.3840
Zn  0.5000  0.6065  0.8402
Zn  0.5000  0.8402  0.6065
Ni  0.0000  0.5978  0.5978
Au  0.5000  0.2760  0.9507
Au  0.5000  0.9507  0.2760